# 1
Computed X-ray powder pattern of Gd3Y for Cu Ka, from a cell relaxed with PBE.
Kinematic intensities with the Lorentz-polarization factor, no thermal factor.

Peak list (8 most intense, 2θ from 10° to 90°, by angle)
2θ (°)  intensity  h k l
30.7  100  1 1 1
35.6  50  2 0 0
51.2  36  2 2 0
60.9  42  3 1 1
63.9  12  2 2 2
75.4  6  4 0 0
83.5  17  3 3 1
86.2  16  4 2 0

a b c (Å): 5.045 5.045 5.045
angles (deg): 90.00 90.00 90.00
Space group Pm-3m (No. 221)
Inequivalent atoms, fractional coordinates:
Gd 0.000 0.000 0.500 (multiplicity 3)
Y 0.500 0.500 0.500 (multiplicity 1)

=====

# 2
Computed X-ray powder pattern of CaHfZn for Cu Ka, from a cell relaxed with PBE.
Kinematic intensities with the Lorentz-polarization factor, no thermal factor.

Peak list (8 most intense, 2θ from 10° to 90°, by angle)
2θ (°)  intensity  h k l
22.6  91  1 1 1
37.3  100  2 2 0
44.0  48  3 1 1
53.7  17  4 0 0
59.0  20  3 3 1
67.2  34  4 2 2
71.9  15  5 1 1
83.9  15  5 3 1

a b c (Å): 6.824 6.824 6.824
angles (deg): 90.00 90.00 90.00
Space group F-43m (No. 216)
Inequivalent atoms, fractional coordinates:
Ca 0.000 0.000 0.000 (multiplicity 4)
Hf 0.250 0.250 0.750 (multiplicity 4)
Zn 0.000 0.000 0.500 (multiplicity 4)

=====

# 3
Computed X-ray powder pattern of Sc4NCl6 for Cu Ka, from a cell relaxed with PBE.
Kinematic intensities with the Lorentz-polarization factor, no thermal factor.

Peak list (8 most intense, 2θ from 10° to 90°, by angle)
2θ (°)  intensity  h k l
10.5  100  1 1 0
30.7  9  2 1 1
33.3  24  2 2 1
37.3  13  2 3 1
37.6  53  3 2 1
49.4  10  5 4 0
52.2  21  0 0 2
56.3  7  6 2 1

a b c (Å): 11.631 12.137 3.507
angles (deg): 90.00 90.00 90.00
Space group Pbam (No. 55)
Inequivalent atoms, fractional coordinates:
Sc 0.101 0.078 0.000 (multiplicity 4)
Sc 0.119 0.857 0.500 (multiplicity 4)
N 0.000 0.000 0.500 (multiplicity 2)
Cl 0.015 0.742 0.000 (multiplicity 4)
Cl 0.234 0.176 0.500 (multiplicity 4)
Cl 0.241 0.429 0.000 (multiplicity 4)

=====

# 4
Computed X-ray powder pattern of Si for Cu Ka, from a cell relaxed with PBE.
Kinematic intensities with the Lorentz-polarization factor, no thermal factor.

Peak list (8 most intense, 2θ from 10° to 90°, by angle)
2θ (°)  intensity  h k l
17.7  88  1 1 0
19.4  100  0 1 3
21.2  34  2 0 1
32.0  74  1 2 3
36.3  35  2 2 1
50.7  39  4 0 5
51.2  30  2 3 4
54.1  54  3 2 5

a b c (Å): 10.0184 10.0184 16.1168
angles (deg): 90.00 90.00 120.00
Space group P-3m1 (No. 164)
Inequivalent atoms, fractional coordinates:
Si 0.0006 0.2448 0.3263 (multiplicity 12)
Si 0.0010 0.3804 0.7953 (multiplicity 12)
Si 0.0876 0.4212 0.4419 (multiplicity 12)
Si 0.1334 0.2668 0.0005 (multiplicity 6)
Si 0.2085 0.4170 0.1230 (multiplicity 6)
Si 0.2087 0.4174 0.8784 (multiplicity 6)
Si 0.3333 0.6667 0.0729 (multiplicity 2)
Si 0.3333 0.6667 0.9286 (multiplicity 2)

=====

# 5
Computed X-ray powder pattern of CsMg6Cd for Cu Ka, from a cell relaxed with PBE.
Kinematic intensities with the Lorentz-polarization factor, no thermal factor.

Peak list (8 most intense, 2θ from 10° to 90°, by angle)
2θ (°)  intensity  h k l
14.3  55  0 1 1
21.9  26  1 1 1
22.2  31  1 0 2
30.4  26  1 1 3
33.4  100  2 0 0
34.1  26  1 0 4
52.2  15  0 2 6
59.7  14  3 2 2

a b c (Å): 5.372 7.211 12.042
angles (deg): 90.00 90.00 90.00
Space group Amm2 (No. 38)
Inequivalent atoms, fractional coordinates:
Cs 0.000 0.000 0.000 (multiplicity 2)
Mg 0.000 0.000 0.506 (multiplicity 2)
Mg 0.000 0.247 0.749 (multiplicity 4)
Mg 0.500 0.000 0.334 (multiplicity 2)
Mg 0.500 0.217 0.596 (multiplicity 4)
Cd 0.500 0.000 0.810 (multiplicity 2)

=====

# 6
Computed X-ray powder pattern of CsLiMg6 for Cu Ka, from a cell relaxed with PBE.
Kinematic intensities with the Lorentz-polarization factor, no thermal factor.

Peak list (8 most intense, 2θ from 10° to 90°, by angle)
2θ (°)  intensity  h k l
14.3  32  0 1 1
15.1  24  0 0 2
16.6  27  1 0 0
22.0  57  1 1 1
25.8  21  0 1 3
28.9  35  0 2 2
33.5  100  2 0 0
34.8  42  1 0 4

a b c (Å): 5.341 7.260 11.759
angles (deg): 90.00 90.00 90.00
Space group Amm2 (No. 38)
Inequivalent atoms, fractional coordinates:
Cs 0.000 0.000 0.000 (multiplicity 2)
Li 0.500 0.000 0.175 (multiplicity 2)
Mg 0.000 0.000 0.486 (multiplicity 2)
Mg 0.000 0.244 0.746 (multiplicity 4)
Mg 0.500 0.000 0.656 (multiplicity 2)
Mg 0.500 0.214 0.393 (multiplicity 4)

=====

- Number 2 is which compound?
  CaHfZn